Starting from DFT lattice parameters and positions (PBE), the XRD peak list of RbTm2Cu3TeSe4 was computed for Cu Kα.
Neutral-atom scattering factors, no anomalous dispersion.

Most intense lines, 2θ = 15–90°, by intensity:
d_spacing  intensity
3.098  100
2.891  100
2.959  96
2.548  77
2.073  75
3.148  70
1.947  69
2.378  63
2.343  45
1.685  40

```
data_RbTm2Cu3TeSe4
_chemical_formula_sum 'Rb2 Tm4 Cu6 Te2 Se8'
_space_group_name_H-M_alt 'P 1'
_space_group_IT_number 1
_cell_length_a 7.548
_cell_length_b 7.548
_cell_length_c 17.348
_cell_angle_alpha 90.00
_cell_angle_beta 90.00
_cell_angle_gamma 148.12
loop_
_space_group_symop_operation_xyz
'x,y,z'
loop_
_atom_site_label
_atom_site_type_symbol
_atom_site_fract_x
_atom_site_fract_y
_atom_site_fract_z
Rb1 Rb 0.050 0.950 0.750
Rb2 Rb 0.950 0.050 0.250
Tm1 Tm 0.189 0.811 0.087
Tm2 Tm 0.189 0.811 0.413
Tm3 Tm 0.811 0.189 0.587
Tm4 Tm 0.811 0.189 0.913
Cu1 Cu 0.350 0.650 0.750
Cu2 Cu 0.414 0.586 0.031
Cu3 Cu 0.414 0.586 0.469
Cu4 Cu 0.586 0.414 0.531
Cu5 Cu 0.586 0.414 0.969
Cu6 Cu 0.650 0.350 0.250
Te1 Te 0.251 0.749 0.250
Te2 Te 0.749 0.251 0.750
Se1 Se 0.168 0.832 0.572
Se2 Se 0.168 0.832 0.928
Se3 Se 0.440 0.560 0.613
Se4 Se 0.440 0.560 0.887
Se5 Se 0.560 0.440 0.113
Se6 Se 0.560 0.440 0.387
Se7 Se 0.832 0.168 0.072
Se8 Se 0.832 0.168 0.428
```

---

Starting from DFT lattice parameters and positions (PBE), the XRD peak list of IrF8 was computed for Cu Kα.
Neutral-atom scattering factors, no anomalous dispersion.

Most intense lines, 2θ = 15–90°, by intensity:
d_spacing  intensity
4.109  100
4.282  95
4.012  84
4.045  67
3.315  49
3.036  44
2.730  38
3.119  30
2.283  29
1.715  29

```
data_IrF8
_chemical_formula_sum 'Ir2 F16'
_space_group_name_H-M_alt 'P 1'
_space_group_IT_number 1
_cell_length_a 5.806
_cell_length_b 5.806
_cell_length_c 8.227
_cell_angle_alpha 122.80
_cell_angle_beta 122.80
_cell_angle_gamma 47.57
loop_
_space_group_symop_operation_xyz
'x,y,z'
loop_
_atom_site_label
_atom_site_type_symbol
_atom_site_fract_x
_atom_site_fract_y
_atom_site_fract_z
Ir1 Ir 0.109 0.891 0.750
Ir2 Ir 0.891 0.109 0.250
F1 F 0.090 0.590 0.767
F2 F 0.127 0.723 0.319
F3 F 0.133 0.214 0.995
F4 F 0.214 0.133 0.495
F5 F 0.277 0.873 0.181
F6 F 0.329 0.497 0.565
F7 F 0.410 0.910 0.733
F8 F 0.497 0.329 0.065
F9 F 0.503 0.671 0.935
F10 F 0.590 0.090 0.267
F11 F 0.671 0.503 0.435
F12 F 0.723 0.127 0.819
F13 F 0.786 0.867 0.505
F14 F 0.867 0.786 0.005
F15 F 0.873 0.277 0.681
F16 F 0.910 0.410 0.233
```

---

Starting from DFT lattice parameters and positions (PBE), the XRD peak list of Nb3Bi5Pd5 was computed for Cu Kα.
Neutral-atom scattering factors, no anomalous dispersion.

Most intense lines, 2θ = 15–90°, by intensity:
d_spacing  intensity
2.250  100
3.667  48
3.651  45
2.216  23
2.232  22
1.933  17
1.573  13
3.147  13
1.286  13
1.897  13

```
data_Nb3Bi5Pd5
_chemical_formula_sum 'Nb3 Bi5 Pd5'
_space_group_name_H-M_alt 'P 1'
_space_group_IT_number 1
_cell_length_a 7.716
_cell_length_b 7.716
_cell_length_c 9.928
_cell_angle_alpha 129.76
_cell_angle_beta 129.76
_cell_angle_gamma 49.32
loop_
_space_group_symop_operation_xyz
'x,y,z'
loop_
_atom_site_label
_atom_site_type_symbol
_atom_site_fract_x
_atom_site_fract_y
_atom_site_fract_z
Nb1 Nb 0.000 0.000 0.000
Nb2 Nb 0.207 0.192 0.800
Nb3 Nb 0.808 0.793 0.200
Bi1 Bi 0.133 0.096 0.404
Bi2 Bi 0.335 0.320 0.228
Bi3 Bi 0.494 0.506 0.000
Bi4 Bi 0.680 0.665 0.772
Bi5 Bi 0.904 0.867 0.596
Pd1 Pd 0.124 0.652 0.081
Pd2 Pd 0.348 0.876 0.919
Pd3 Pd 0.564 0.044 0.723
Pd4 Pd 0.798 0.202 0.500
Pd5 Pd 0.956 0.436 0.277
```